# 1
BaSrCa2Hg4: simulated powder XRD pattern (Cu Kα, 1.54184 Å), based on a GGA-PBE-relaxed structure.
Intensities are scaled so that the largest is 100.

Most intense lines, 10° ≤ 2θ ≤ 90°, sorted by position:
| 2theta | I/Imax |
| --- | --- |
| 22.42 | 46.2 |
| 31.82 | 99.7 |
| 32.02 | 100.0 |
| 45.77 | 36.6 |
| 56.95 | 38.3 |
| 57.07 | 19.4 |

Cell and atoms:
a b c (Å): 9.7609 9.7609 9.7609
angles (deg): 33.28 33.28 33.28
Positions (direct):
Ba 0.0000 0.0000 0.0000
Sr 0.5000 0.5000 0.5000
Ca 0.2479 0.2479 0.2479
Ca 0.7521 0.7521 0.7521
Hg 0.1271 0.1271 0.1271
Hg 0.3789 0.3789 0.3789
Hg 0.6211 0.6211 0.6211
Hg 0.8729 0.8729 0.8729

=====

# 2
BaCaI4: simulated powder XRD pattern (Cu Kα, 1.54184 Å), based on a GGA-PBE-relaxed structure.
Intensities are scaled so that the largest is 100.

Most intense lines, 10° ≤ 2θ ≤ 90°, sorted by position:
| 2theta | I/Imax |
| --- | --- |
| 21.62 | 36.4 |
| 26.89 | 69.7 |
| 28.78 | 100.0 |
| 29.03 | 69.5 |
| 33.77 | 46.3 |
| 45.07 | 31.2 |

Cell and atoms:
a b c (Å): 11.6419 11.6419 8.1904
angles (deg): 90.00 90.00 149.36
Positions (direct):
Ba 0.1767 0.8233 0.5000
Ba 0.8233 0.1767 0.0000
Ca 0.4118 0.5882 0.4079
Ca 0.5882 0.4118 0.9079
I 0.1020 0.8980 0.8834
I 0.2902 0.7098 0.2012
I 0.3262 0.6738 0.7139
I 0.4609 0.5391 0.0483
I 0.5391 0.4609 0.5483
I 0.6738 0.3262 0.2139
I 0.7098 0.2902 0.7012
I 0.8980 0.1020 0.3834

=====

What did the first record say?
BaSrCa2Hg4: simulated powder XRD pattern (Cu Kα, 1.54184 Å), based on a GGA-PBE-relaxed structure.
Intensities are scaled so that the largest is 100.

Most intense lines, 10° ≤ 2θ ≤ 90°, sorted by position:
| 2theta | I/Imax |
| --- | --- |
| 22.42 | 46.2 |
| 31.82 | 99.7 |
| 32.02 | 100.0 |
| 45.77 | 36.6 |
| 56.95 | 38.3 |
| 57.07 | 19.4 |

Cell and atoms:
a b c (Å): 9.7609 9.7609 9.7609
angles (deg): 33.28 33.28 33.28
Positions (direct):
Ba 0.0000 0.0000 0.0000
Sr 0.5000 0.5000 0.5000
Ca 0.2479 0.2479 0.2479
Ca 0.7521 0.7521 0.7521
Hg 0.1271 0.1271 0.1271
Hg 0.3789 0.3789 0.3789
Hg 0.6211 0.6211 0.6211
Hg 0.8729 0.8729 0.8729